(1)
The following is a theoretical X-ray powder pattern of CdAg5Te6. It was derived from a cell relaxed with GGA-PBE, using Cu Kα (weighted mean of Kα1 and Kα2).
Peak positions follow from Bragg's law for the DFT cell and can differ from measured ones.

Atomic structure:
a = 7.2384 Å, b = 12.4921 Å, c = 7.2064 Å
α = 90.00°, β = 109.35°, γ = 90.00°
Space group C2/m (No. 12)
Inequivalent atoms, fractional coordinates:
Cd (0.0000, 0.0000, 0.0000) [2 per cell]
Ag (0.0000, 0.1628, 0.5000) [4 per cell]
Ag (0.0000, 0.3326, 0.0000) [4 per cell]
Ag (0.0000, 0.5000, 0.5000) [2 per cell]
Te (0.2431, 0.5000, 0.2525) [4 per cell]
Te (0.2455, 0.3301, 0.7467) [8 per cell]

Peak list (11 most intense, 10 to 90 degrees two-theta, sorted by position)
(hkl)  two_theta  I_rel
1 3 1  30.32  100
2 0 2  43.34  37
1 3 -3  43.48  37
4 0 0  53.68  6
0 0 4  53.93  19
4 0 -4  63.07  12
3 3 3  71.47  16
0 6 4  71.68  16
5 3 1  79.42  6
1 3 5  79.72  12
2 0 -6  79.82  6

(2)
The following is a theoretical X-ray powder pattern of SeBr2O. It was derived from a cell relaxed with GGA-PBE, using Cu Kα (weighted mean of Kα1 and Kα2).
Peak positions follow from Bragg's law for the DFT cell and can differ from measured ones.

Atomic structure:
a = 10.5186 Å, b = 13.1073 Å, c = 4.1031 Å
α = 90.00°, β = 90.00°, γ = 90.00°
Space group Pna2_1 (No. 33)
Inequivalent atoms, fractional coordinates:
Se (0.2108, 0.0162, 0.0000) [4 per cell]
Br (0.0644, 0.1364, 0.2693) [4 per cell]
Br (0.1133, 0.6302, 0.4159) [4 per cell]
O (0.2449, 0.4386, 0.7908) [4 per cell]

Peak list (12 most intense, 10 to 90 degrees two-theta, sorted by position)
(hkl)  two_theta  I_rel
0 2 0  13.51  49
1 2 0  15.93  95
2 2 0  21.67  49
1 1 1  24.25  96
1 2 1  27.00  100
2 0 1  27.57  37
3 2 0  28.88  61
2 4 0  32.19  37
3 3 0  32.75  24
2 4 1  39.13  54
3 3 1  39.61  25
3 6 0  49.13  28

(3)
The following is a theoretical X-ray powder pattern of Ho2Se3O9. It was derived from a cell relaxed with GGA-PBE, using Cu Kα (weighted mean of Kα1 and Kα2).
Peak positions follow from Bragg's law for the DFT cell and can differ from measured ones.

Atomic structure:
a = 8.7390 Å, b = 8.7390 Å, c = 8.2470 Å
α = 90.00°, β = 90.00°, γ = 120.00°
Space group P6_3/m (No. 176)
Inequivalent atoms, fractional coordinates:
Ho (0.3333, 0.6667, 0.0402) [4 per cell]
Se (0.0296, 0.7245, 0.7500) [6 per cell]
O (0.1428, 0.4955, 0.2500) [6 per cell]
O (0.1496, 0.7252, 0.5866) [12 per cell]

Peak list (12 most intense, 10 to 90 degrees two-theta, sorted by position)
(hkl)  two_theta  I_rel
1 0 0  11.69  76
1 1 0  20.32  35
1 1 1  23.03  70
2 0 0  23.51  36
1 0 2  24.59  33
2 0 1  25.91  22
1 1 2  29.79  100
3 0 0  35.59  46
1 2 3  45.78  28
2 2 2  47.07  28
3 1 2  48.68  23
1 4 2  60.38  21

(4)
The following is a theoretical X-ray powder pattern of Pm2Dy12Tm5. It was derived from a cell relaxed with GGA-PBE, using Cu Kα (weighted mean of Kα1 and Kα2).
Peak positions follow from Bragg's law for the DFT cell and can differ from measured ones.

Atomic structure:
a = 6.1250 Å, b = 9.3464 Å, c = 10.6288 Å
α = 78.99°, β = 84.39°, γ = 89.94°
Space group P-1 (No. 2)
Inequivalent atoms, fractional coordinates:
Pm (0.2361, 0.4467, 0.0801) [2 per cell]
Dy (0.0265, 0.6060, 0.3430) [2 per cell]
Dy (0.1308, 0.0270, 0.7096) [2 per cell]
Dy (0.1845, 0.2361, 0.3966) [2 per cell]
Dy (0.2899, 0.6590, 0.7607) [2 per cell]
Dy (0.3950, 0.0776, 0.1324) [2 per cell]
Dy (0.4462, 0.2876, 0.8145) [2 per cell]
Tm (0.0793, 0.8182, 0.0262) [2 per cell]
Tm (0.3434, 0.8687, 0.4472) [2 per cell]
Tm (0.5000, 0.5000, 0.5000) [1 per cell]

Peak list (12 most intense, 10 to 90 degrees two-theta, sorted by position)
(hkl)  two_theta  I_rel
2 1 1  30.97  100
1 1 4  35.83  17
1 3 -1  35.95  34
2 4 3  51.68  30
1 -5 0  51.78  6
3 2 5  61.38  14
3 4 0  61.54  28
4 2 2  64.54  12
5 0 4  84.35  7
5 2 -1  84.44  7
4 0 7  86.99  6
5 -3 2  87.20  7

(5)
The following is a theoretical X-ray powder pattern of Ac2In3GePd4. It was derived from a cell relaxed with GGA-PBE, using Cu Kα (weighted mean of Kα1 and Kα2).
Peak positions follow from Bragg's law for the DFT cell and can differ from measured ones.

Atomic structure:
a = 4.7776 Å, b = 4.7776 Å, c = 10.2836 Å
α = 90.00°, β = 90.00°, γ = 90.00°
Space group P-4m2 (No. 115)
Inequivalent atoms, fractional coordinates:
Ac (0.0000, 0.5000, 0.2480) [2 per cell]
In (0.0000, 0.5000, 0.8784) [2 per cell]
In (0.5000, 0.5000, 0.5000) [1 per cell]
Ge (0.0000, 0.0000, 0.5000) [1 per cell]
Pd (0.0000, 0.0000, 0.0000) [1 per cell]
Pd (0.0000, 0.5000, 0.6179) [2 per cell]
Pd (0.5000, 0.5000, 0.0000) [1 per cell]

Peak list (12 most intense, 10 to 90 degrees two-theta, sorted by position)
(hkl)  two_theta  I_rel
1 1 0  26.38  27
1 1 2  31.69  100
1 0 3  32.14  89
2 0 0  37.66  79
1 0 5  48.17  23
2 1 3  50.32  51
2 2 0  54.31  27
1 1 6  60.58  20
2 1 5  62.70  21
3 1 2  64.26  26
3 2 3  77.18  14
3 1 6  85.72  16

(6)
The following is a theoretical X-ray powder pattern of Na2NpSbO6. It was derived from a cell relaxed with GGA-PBE, using Cu Kα (weighted mean of Kα1 and Kα2).
Peak positions follow from Bragg's law for the DFT cell and can differ from measured ones.

Atomic structure:
a = 5.8314 Å, b = 5.8314 Å, c = 4.1330 Å
α = 90.00°, β = 90.00°, γ = 90.00°
Space group P4mm (No. 99)
Inequivalent atoms, fractional coordinates:
Na (0.0000, 0.5000, 0.0000) [2 per cell]
Np (0.0000, 0.0000, 0.5048) [1 per cell]
Sb (0.5000, 0.5000, 0.5047) [1 per cell]
O (0.0000, 0.0000, 0.0049) [1 per cell]
O (0.2567, 0.2567, 0.5061) [4 per cell]
O (0.5000, 0.5000, 0.0053) [1 per cell]

Peak list (12 most intense, 10 to 90 degrees two-theta, sorted by position)
(hkl)  two_theta  I_rel
1 0 0  15.19  13
1 1 0  21.53  100
2 0 0  30.64  98
2 0 1  37.76  12
0 0 2  43.81  11
2 2 0  43.92  22
1 1 2  49.38  44
2 0 2  54.47  41
4 0 0  63.79  20
0 0 3  68.14  13
4 2 0  72.48  12
4 2 2  88.66  14

(7)
The following is a theoretical X-ray powder pattern of Ba6Sr. It was derived from a cell relaxed with GGA-PBE, using Cu Kα (weighted mean of Kα1 and Kα2).
Peak positions follow from Bragg's law for the DFT cell and can differ from measured ones.

Atomic structure:
a = 7.0546 Å, b = 7.0546 Å, c = 30.1734 Å
α = 90.00°, β = 90.00°, γ = 120.00°
Space group R-3m (No. 166, hexagonal axes)
Inequivalent atoms, fractional coordinates:
Ba (0.0000, 0.0000, 0.0712) [6 per cell]
Ba (0.0000, 0.0000, 0.2133) [6 per cell]
Ba (0.0000, 0.0000, 0.3575) [6 per cell]
Sr (0.0000, 0.0000, 0.5000) [3 per cell]

Peak list (12 most intense, 10 to 90 degrees two-theta, sorted by position)
(hkl)  two_theta  I_rel
1 1 0  25.27  100
0 2 7  36.04  20
3 0 0  44.52  43
2 2 0  51.84  7
2 0 14  51.92  7
1 3 7  58.56  19
4 0 7  64.75  4
4 1 0  70.66  11
3 1 14  70.77  11
3 3 0  81.98  7
3 0 21  82.09  4
2 4 7  87.46  3

(8)
The following is a theoretical X-ray powder pattern of PrNd12Tl6. It was derived from a cell relaxed with GGA-PBE, using Cu Kα (weighted mean of Kα1 and Kα2).
Peak positions follow from Bragg's law for the DFT cell and can differ from measured ones.

Atomic structure:
a = 14.0684 Å, b = 14.0684 Å, c = 11.5961 Å
α = 90.00°, β = 90.00°, γ = 120.00°
Space group R-3m (No. 166, hexagonal axes)
Inequivalent atoms, fractional coordinates:
Pr (0.0000, 0.0000, 0.0000) [3 per cell]
Nd (0.0000, 0.3905, 0.5000) [18 per cell]
Nd (0.0876, 0.1752, 0.3434) [18 per cell]
Tl (0.0235, 0.5117, 0.2554) [18 per cell]

Peak list (12 most intense, 10 to 90 degrees two-theta, sorted by position)
(hkl)  two_theta  I_rel
1 1 0  12.58  40
2 2 0  25.32  37
1 1 3  26.31  54
1 3 1  27.49  100
3 1 2  30.62  39
0 3 3  31.96  41
3 2 1  32.96  48
0 4 2  33.23  80
0 2 4  34.26  85
5 0 2  40.14  64
4 2 2  42.23  39
3 1 5  47.55  33

Please write out number 8 again, unchanged.
The following is a theoretical X-ray powder pattern of PrNd12Tl6. It was derived from a cell relaxed with GGA-PBE, using Cu Kα (weighted mean of Kα1 and Kα2).
Peak positions follow from Bragg's law for the DFT cell and can differ from measured ones.

Atomic structure:
a = 14.0684 Å, b = 14.0684 Å, c = 11.5961 Å
α = 90.00°, β = 90.00°, γ = 120.00°
Space group R-3m (No. 166, hexagonal axes)
Inequivalent atoms, fractional coordinates:
Pr (0.0000, 0.0000, 0.0000) [3 per cell]
Nd (0.0000, 0.3905, 0.5000) [18 per cell]
Nd (0.0876, 0.1752, 0.3434) [18 per cell]
Tl (0.0235, 0.5117, 0.2554) [18 per cell]

Peak list (12 most intense, 10 to 90 degrees two-theta, sorted by position)
(hkl)  two_theta  I_rel
1 1 0  12.58  40
2 2 0  25.32  37
1 1 3  26.31  54
1 3 1  27.49  100
3 1 2  30.62  39
0 3 3  31.96  41
3 2 1  32.96  48
0 4 2  33.23  80
0 2 4  34.26  85
5 0 2  40.14  64
4 2 2  42.23  39
3 1 5  47.55  33